The following is a calculated XRD peak list of VHgIO6. It was derived from a DFT-relaxed cell (PBE+U, Alexandria), using Cu Kα (weighted mean of Kα1 and Kα2).

Atomic structure:
Lattice parameters (Å, degrees): 4.941 5.420 5.421 119.70 90.52 90.02
Atoms (fractional coordinates):
V 0.000 0.000 0.000
Hg 0.532 0.333 0.667
I 0.096 0.668 0.334
O 0.291 0.729 0.069
O 0.291 0.937 0.664
O 0.293 0.342 0.278
O 0.847 0.697 0.729
O 0.852 0.033 0.305
O 0.852 0.274 0.966

The 8 most intense peaks (2θ from 15° to 90°), by angle:
(0 0 1), 2θ = 18.88°, d = 4.702 Å, intensity 45; (1 0 -1), 2θ = 26.02°, d = 3.424 Å, intensity 100; (1 1 0), 2θ = 26.19°, d = 3.402 Å, intensity 98; (1 -1 1), 2θ = 26.28°, d = 3.392 Å, intensity 97; (0 1 1), 2θ = 32.90°, d = 2.723 Å, intensity 35; (0 2 -1), 2θ = 33.05°, d = 2.710 Å, intensity 68; (2 -2 1), 2θ = 49.96°, d = 1.826 Å, intensity 27; (1 2 1), 2θ = 54.93°, d = 1.672 Å, intensity 32